Record 1
# NaBi2Pb
Theoretical X-ray powder pattern, copper Kα. Input: DFT lattice parameters and positions (GGA-PBE).

Structure:
Unit cell a=5.1057 b=6.9619 c=3.5172 alpha=90.00 beta=90.00 gamma=90.00
Atoms (fractional coordinates):
Na 0.0000 0.0000 0.0000
Bi 0.5000 0.2410 0.5146
Bi 0.5000 0.7590 0.5146
Pb 0.0000 0.5000 0.1580

Largest 6 diffraction maxima, sorted by position, 10 to 80 degrees two-theta:
two_theta  d_spacing  I (rel.)
21.58  4.117  24
30.87  2.896  86
31.10  2.876  100
35.15  2.553  37
36.31  2.474  56
51.43  1.777  42

---

Record 2
# NdPaPt2
Theoretical X-ray powder pattern, copper Kα. Input: DFT lattice parameters and positions (GGA-PBE).

Structure:
Unit cell a=5.9367 b=4.3706 c=7.7377 alpha=90.00 beta=110.59 gamma=90.00
Atoms (fractional coordinates):
Nd 0.2164 0.2500 0.1810
Nd 0.7836 0.7500 0.8190
Pa 0.2339 0.2500 0.6837
Pa 0.7661 0.7500 0.3163
Pt 0.2972 0.7500 0.4646
Pt 0.3218 0.7500 0.9419
Pt 0.6782 0.2500 0.0581
Pt 0.7028 0.2500 0.5354

Largest 6 diffraction maxima, sorted by position, 10 to 80 degrees two-theta:
two_theta  d_spacing  I (rel.)
31.77  2.817  100
32.10  2.789  94
32.21  2.779  78
39.08  2.305  71
39.90  2.259  73
41.31  2.185  57

---

Record 3
# Al2GaFe7
Theoretical X-ray powder pattern, copper Kα. Input: DFT lattice parameters and positions (GGA-PBE).

Structure:
Unit cell a=4.0332 b=4.0332 c=9.2323 alpha=90.00 beta=90.00 gamma=120.00
Atoms (fractional coordinates):
Al 0.0000 0.0000 0.0000
Al 0.3333 0.6667 0.6332
Ga 0.6667 0.3333 0.4082
Fe 0.0000 0.0000 0.2484
Fe 0.0000 0.0000 0.5025
Fe 0.0000 0.0000 0.7491
Fe 0.3333 0.6667 0.3291
Fe 0.3333 0.6667 0.9173
Fe 0.6667 0.3333 0.1229
Fe 0.6667 0.3333 0.8364

Largest 6 diffraction maxima, sorted by position, 10 to 80 degrees two-theta:
two_theta  d_spacing  I (rel.)
19.23  4.616  20
39.01  2.309  53
44.95  2.017  100
47.20  1.926  60
61.00  1.519  13
67.22  1.393  19

---

Record 4
# CsTl2RhF8
Theoretical X-ray powder pattern, copper Kα. Input: DFT lattice parameters and positions (GGA-PBE).

Structure:
Unit cell a=5.0791 b=5.8411 c=8.0337 alpha=89.26 beta=81.89 gamma=77.02
Atoms (fractional coordinates):
Cs 0.0000 0.0000 0.0000
Tl 0.4270 0.4814 0.2556
Tl 0.5730 0.5186 0.7444
Rh 0.0000 0.0000 0.5000
F 0.0355 0.2336 0.6666
F 0.1300 0.1894 0.3132
F 0.3637 0.7949 0.5044
F 0.4161 0.3081 0.9838
F 0.5839 0.6919 0.0162
F 0.6363 0.2051 0.4956
F 0.8700 0.8106 0.6868
F 0.9645 0.7664 0.3334

Largest 6 diffraction maxima, sorted by position, 10 to 80 degrees two-theta:
two_theta  d_spacing  I (rel.)
21.10  4.211  100
26.54  3.358  78
26.80  3.327  47
27.11  3.289  63
27.62  3.229  67
38.73  2.325  31

---

Record 5
# Li15Hg4Pd
Theoretical X-ray powder pattern, copper Kα. Input: DFT lattice parameters and positions (GGA-PBE).

Structure:
Unit cell a=4.0211 b=4.0211 c=21.0887 alpha=90.00 beta=90.00 gamma=90.00
Atoms (fractional coordinates):
Li 0.0000 0.0000 0.0000
Li 0.0000 0.0000 0.1935
Li 0.0000 0.0000 0.3977
Li 0.0000 0.0000 0.6023
Li 0.0000 0.0000 0.8065
Li 0.0000 0.5000 0.0907
Li 0.0000 0.5000 0.2959
Li 0.0000 0.5000 0.5000
Li 0.0000 0.5000 0.7041
Li 0.0000 0.5000 0.9093
Li 0.5000 0.0000 0.0907
Li 0.5000 0.0000 0.2959
Li 0.5000 0.0000 0.5000
Li 0.5000 0.0000 0.7041
Li 0.5000 0.0000 0.9093
Hg 0.5000 0.5000 0.1921
Hg 0.5000 0.5000 0.3976
Hg 0.5000 0.5000 0.6024
Hg 0.5000 0.5000 0.8079
Pd 0.5000 0.5000 0.0000

Largest 6 diffraction maxima, sorted by position, 10 to 80 degrees two-theta:
two_theta  d_spacing  I (rel.)
21.06  4.218  54
22.11  4.021  100
30.72  2.910  87
31.46  2.843  42
38.17  2.358  61
55.56  1.654  34

---

Record 6
# Pm3Tl2Ag3
Theoretical X-ray powder pattern, copper Kα. Input: DFT lattice parameters and positions (GGA-PBE).

Structure:
Unit cell a=6.2152 b=6.2152 c=15.5158 alpha=90.00 beta=90.00 gamma=135.34
Atoms (fractional coordinates):
Pm 0.0848 0.9152 0.6044
Pm 0.0848 0.9152 0.8956
Pm 0.3686 0.6314 0.7500
Pm 0.6314 0.3686 0.2500
Pm 0.9152 0.0848 0.1044
Pm 0.9152 0.0848 0.3956
Tl 0.2099 0.7901 0.1048
Tl 0.2099 0.7901 0.3952
Tl 0.7901 0.2099 0.6048
Tl 0.7901 0.2099 0.8952
Ag 0.3652 0.6348 0.2500
Ag 0.3935 0.6065 0.5413
Ag 0.3935 0.6065 0.9587
Ag 0.6065 0.3935 0.0413
Ag 0.6065 0.3935 0.4587
Ag 0.6348 0.3652 0.7500

Largest 6 diffraction maxima, sorted by position, 10 to 80 degrees two-theta:
two_theta  d_spacing  I (rel.)
30.59  2.923  47
30.83  2.901  80
34.76  2.581  100
35.74  2.513  18
38.11  2.361  85
63.65  1.462  16

---

Record 7
# Dy2ErReO8
Theoretical X-ray powder pattern, copper Kα. Input: DFT lattice parameters and positions (GGA-PBE).

Structure:
Unit cell a=5.0398 b=5.0398 c=6.7179 alpha=90.00 beta=90.00 gamma=90.83
Atoms (fractional coordinates):
Dy 0.0000 0.0000 0.2476
Dy 0.0000 0.0000 0.7524
Er 0.5000 0.5000 0.0000
Re 0.5000 0.5000 0.5000
O 0.1951 0.1951 0.0000
O 0.2318 0.2318 0.5000
O 0.3192 0.6808 0.2913
O 0.3192 0.6808 0.7087
O 0.6808 0.3192 0.2913
O 0.6808 0.3192 0.7087
O 0.7682 0.7682 0.5000
O 0.8049 0.8049 0.0000

Largest 6 diffraction maxima, sorted by position, 10 to 80 degrees two-theta:
two_theta  d_spacing  I (rel.)
24.80  3.589  59
25.17  3.538  54
32.02  2.795  100
35.63  2.520  31
48.45  1.879  40
48.86  1.864  37

---

Record 8
# Nd6AsN4
Theoretical X-ray powder pattern, copper Kα. Input: DFT lattice parameters and positions (GGA-PBE).

Structure:
Unit cell a=6.4014 b=6.4014 c=19.0689 alpha=90.00 beta=90.00 gamma=145.67
Atoms (fractional coordinates):
Nd 0.0000 0.0000 0.0000
Nd 0.0000 0.0000 0.5000
Nd 0.1525 0.8475 0.7500
Nd 0.2778 0.7222 0.0781
Nd 0.2778 0.7222 0.4219
Nd 0.4576 0.5424 0.6500
Nd 0.4576 0.5424 0.8500
Nd 0.5424 0.4576 0.1500
Nd 0.5424 0.4576 0.3500
Nd 0.7222 0.2778 0.5781
Nd 0.7222 0.2778 0.9219
Nd 0.8475 0.1525 0.2500
As 0.1639 0.8361 0.2500
As 0.8361 0.1639 0.7500
N 0.0858 0.9142 0.6240
N 0.0858 0.9142 0.8760
N 0.3610 0.6390 0.5397
N 0.3610 0.6390 0.9603
N 0.6390 0.3610 0.0397
N 0.6390 0.3610 0.4603
N 0.9142 0.0858 0.1240
N 0.9142 0.0858 0.3760

Largest 6 diffraction maxima, sorted by position, 10 to 80 degrees two-theta:
two_theta  d_spacing  I (rel.)
31.08  2.878  100
31.73  2.820  100
32.65  2.742  45
33.68  2.661  97
48.20  1.888  48
58.82  1.570  58

---

Record 9
# PmDy4Y15
Theoretical X-ray powder pattern, copper Kα. Input: DFT lattice parameters and positions (GGA-PBE).

Structure:
Unit cell a=5.0475 b=5.0475 c=25.2354 alpha=90.00 beta=90.00 gamma=90.00
Atoms (fractional coordinates):
Pm 0.0000 0.0000 0.0000
Dy 0.0000 0.0000 0.2007
Dy 0.0000 0.0000 0.4003
Dy 0.0000 0.0000 0.5997
Dy 0.0000 0.0000 0.7993
Y 0.0000 0.5000 0.1011
Y 0.0000 0.5000 0.3005
Y 0.0000 0.5000 0.5000
Y 0.0000 0.5000 0.6995
Y 0.0000 0.5000 0.8989
Y 0.5000 0.0000 0.1011
Y 0.5000 0.0000 0.3005
Y 0.5000 0.0000 0.5000
Y 0.5000 0.0000 0.6995
Y 0.5000 0.0000 0.8989
Y 0.5000 0.5000 0.0000
Y 0.5000 0.5000 0.2010
Y 0.5000 0.5000 0.4002
Y 0.5000 0.5000 0.5998
Y 0.5000 0.5000 0.7990

Largest 6 diffraction maxima, sorted by position, 10 to 80 degrees two-theta:
two_theta  d_spacing  I (rel.)
17.57  5.047  6
30.68  2.914  100
35.57  2.524  50
51.19  1.785  35
60.87  1.522  41
63.89  1.457  12

---

Record 10
# DyPuS
Theoretical X-ray powder pattern, copper Kα. Input: DFT lattice parameters and positions (GGA-PBE).

Structure:
Unit cell a=11.9297 b=11.9297 c=11.9297 alpha=17.05 beta=17.05 gamma=17.05
Atoms (fractional coordinates):
Dy 0.0471 0.0471 0.0471
Dy 0.9529 0.9529 0.9529
Pu 0.1851 0.1851 0.1851
Pu 0.8149 0.8149 0.8149
S 0.4307 0.4307 0.4307
S 0.5693 0.5693 0.5693

Largest 6 diffraction maxima, sorted by position, 10 to 80 degrees two-theta:
two_theta  d_spacing  I (rel.)
22.70  3.918  40
29.27  3.051  54
31.86  2.809  56
35.70  2.515  100
44.63  2.031  44
51.70  1.768  45

---

Record 11
# Pr5S9
Theoretical X-ray powder pattern, copper Kα. Input: DFT lattice parameters and positions (GGA-PBE).

Structure:
Unit cell a=12.1955 b=12.1955 c=10.0149 alpha=97.79 beta=97.79 gamma=26.47
Atoms (fractional coordinates):
Pr 0.0066 0.0066 0.2359
Pr 0.2009 0.1987 0.1551
Pr 0.2222 0.1842 0.6259
Pr 0.3939 0.4154 0.0419
Pr 0.4011 0.3922 0.5743
Pr 0.5846 0.6061 0.9581
Pr 0.6078 0.5989 0.4257
Pr 0.8013 0.7991 0.8449
Pr 0.8158 0.7778 0.3741
Pr 0.9934 0.9934 0.7641
S 0.0269 0.5836 0.1112
S 0.0697 0.0828 0.0130
S 0.1265 0.1233 0.3725
S 0.1670 0.6586 0.3291
S 0.2530 0.7470 0.5000
S 0.2987 0.2626 0.4211
S 0.3233 0.3216 0.7878
S 0.3414 0.8330 0.6709
S 0.4164 0.9731 0.8888
S 0.4777 0.4762 0.8231
S 0.5238 0.5223 0.1769
S 0.5915 0.0307 0.1257
S 0.6784 0.6767 0.2122
S 0.7374 0.7013 0.5789
S 0.7538 0.2462 0.5000
S 0.8767 0.8735 0.6275
S 0.9172 0.9303 0.9870
S 0.9693 0.4085 0.8743

Largest 6 diffraction maxima, sorted by position, 10 to 80 degrees two-theta:
two_theta  d_spacing  I (rel.)
21.78  4.081  33
24.72  3.601  100
31.00  2.885  25
39.09  2.304  31
39.99  2.255  23
45.19  2.006  28

---

Record 12
# ScGaBi2O6
Theoretical X-ray powder pattern, copper Kα. Input: DFT lattice parameters and positions (GGA-PBE).

Structure:
Unit cell a=5.5246 b=5.7853 c=9.6781 alpha=90.00 beta=124.78 gamma=90.00
Atoms (fractional coordinates):
Sc 0.0000 0.0000 0.0000
Sc 0.0000 0.5000 0.5000
Ga 0.5000 0.0000 0.5000
Ga 0.5000 0.5000 0.0000
Bi 0.2397 0.0500 0.7496
Bi 0.2397 0.4500 0.2496
Bi 0.7603 0.5500 0.7504
Bi 0.7603 0.9500 0.2504
O 0.1494 0.1914 0.4512
O 0.1494 0.3086 0.9512
O 0.2648 0.7022 0.4505
O 0.2648 0.7978 0.9505
O 0.3583 0.0315 0.2565
O 0.3583 0.4685 0.7565
O 0.6417 0.5315 0.2435
O 0.6417 0.9685 0.7435
O 0.7352 0.2022 0.0495
O 0.7352 0.2978 0.5495
O 0.8506 0.6914 0.0488
O 0.8506 0.8086 0.5488

Largest 6 diffraction maxima, sorted by position, 10 to 80 degrees two-theta:
two_theta  d_spacing  I (rel.)
22.25  3.995  32
30.91  2.893  22
31.76  2.818  100
32.41  2.762  25
45.40  1.998  20
57.40  1.605  23